Entry 1:
Structure and simulated PXRD pattern of PuO2 (a PBE-relaxed structure; a wavelength of 1.5418 Å).
Peak positions follow from Bragg's law for the DFT cell and can differ from measured ones.

Most intense lines, 15 to 90 degrees two-theta, most intense first:
index, 2theta, I/Imax
1 0 1, 30.73, 100
1 1 0, 24.81, 100
2 1 1, 47.54, 74
2 0 0, 35.37, 31
3 0 1, 60.63, 21
1 1 2, 57.95, 20
3 1 0, 57.41, 19
3 2 1, 72.19, 18
2 2 0, 50.88, 16
3 1 2, 80.71, 15

Crystal structure
```
data_PuO2
_chemical_formula_sum 'Pu2 O4'
_symmetry_space_group_name_H-M 'P 42/m n m'
_symmetry_Int_Tables_number 136
_symmetry_space_group_name_Hall '-P 4n 2n'
_cell_length_a 5.0756
_cell_length_b 5.0756
_cell_length_c 3.5507
_cell_angle_alpha 90.00
_cell_angle_beta 90.00
_cell_angle_gamma 90.00
loop_
_atom_site_label
_atom_site_fract_x
_atom_site_fract_y
_atom_site_fract_z
Pu1 0.0000 0.0000 0.0000
O1 0.1892 0.1892 0.5000
```


Entry 2:
Structure and simulated PXRD pattern of Er4PuS6 (a PBE-relaxed structure; a wavelength of 1.5418 Å).
Peak positions follow from Bragg's law for the DFT cell and can differ from measured ones.

Most intense lines, 15 to 90 degrees two-theta, most intense first:
index, 2theta, I/Imax
0 2 5, 26.67, 100
1 3 2, 32.64, 79
1 1 3, 27.77, 55
0 6 4, 46.47, 45
1 3 3, 34.24, 43
2 2 5, 55.00, 37
1 1 8, 44.38, 35
1 1 2, 25.81, 34
0 4 0, 27.91, 30
2 0 0, 47.18, 25

Crystal structure
```
data_Er4PuS6
_chemical_formula_sum 'Er16 Pu4 S24'
_symmetry_space_group_name_H-M 'C m c m'
_symmetry_Int_Tables_number 63
_symmetry_space_group_name_Hall '-C 2c 2'
_cell_length_a 3.8524
_cell_length_b 12.7860
_cell_length_c 19.6067
_cell_angle_alpha 90.00
_cell_angle_beta 90.00
_cell_angle_gamma 90.00
loop_
_atom_site_label
_atom_site_fract_x
_atom_site_fract_y
_atom_site_fract_z
Er1 0.0000 0.0923 0.1289
Er2 0.0000 0.3618 0.0414
Pu1 0.0000 0.1559 0.7500
S1 0.0000 0.0000 0.0000
S2 0.0000 0.1858 0.2500
S3 0.0000 0.2697 0.5879
S4 0.0000 0.4549 0.1655
```


Entry 3:
Structure and simulated PXRD pattern of Cs2YTlCl6 (a PBE-relaxed structure; a wavelength of 1.5418 Å).
Peak positions follow from Bragg's law for the DFT cell and can differ from measured ones.

Most intense lines, 15 to 90 degrees two-theta, most intense first:
index, 2theta, I/Imax
2 2 0, 21.87, 100
4 0 0, 31.12, 52
4 2 2, 38.36, 46
4 4 0, 44.59, 36
6 4 2, 60.25, 27
6 2 0, 50.20, 24
10 2 0, 86.31, 15
8 4 0, 73.73, 15
6 6 0, 69.38, 12
4 4 4, 55.38, 12

Crystal structure
```
data_Cs2YTlCl6
_chemical_formula_sum 'Cs8 Y4 Tl4 Cl24'
_symmetry_space_group_name_H-M 'F m -3 m'
_symmetry_Int_Tables_number 225
_symmetry_space_group_name_Hall '-F 4 2 3'
_cell_length_a 11.4942
_cell_length_b 11.4942
_cell_length_c 11.4942
_cell_angle_alpha 90.00
_cell_angle_beta 90.00
_cell_angle_gamma 90.00
loop_
_atom_site_label
_atom_site_fract_x
_atom_site_fract_y
_atom_site_fract_z
Cs1 0.2500 0.2500 0.2500
Y1 0.0000 0.0000 0.0000
Tl1 0.0000 0.0000 0.5000
Cl1 0.0000 0.0000 0.2301
```